[1]
For ZrSi3Ir2, a structure optimized by DFT (GGA-PBE) gives the calculated PXRD pattern in this record (Cu Kα X-rays).
Kinematic intensities with the Lorentz-polarization factor, no thermal factor.

Atomic structure:
```
data_ZrSi3Ir2
_cell_length_a 7.5767
_cell_length_b 7.5767
_cell_length_c 7.4287
_cell_angle_alpha 119.28
_cell_angle_beta 119.28
_cell_angle_gamma 31.07
_space_group_name_H-M_alt 'P 1'
_space_group_IT_number 1
loop_
_space_group_symop_operation_xyz
'x,y,z'
loop_
_atom_site_label
_atom_site_type_symbol
_atom_site_fract_x
_atom_site_fract_y
_atom_site_fract_z
Zr1 Zr 0.1341 0.1341 0.1519
Zr2 Zr 0.8659 0.8659 0.8481
Si1 Si 0.0090 0.0090 0.6656
Si2 Si 0.3110 0.3110 0.0945
Si3 Si 0.3349 0.3349 0.5508
Si4 Si 0.6651 0.6651 0.4492
Si5 Si 0.6890 0.6890 0.9055
Si6 Si 0.9910 0.9910 0.3344
Ir1 Ir 0.1922 0.1922 0.6550
Ir2 Ir 0.4869 0.4869 0.1645
Ir3 Ir 0.5131 0.5131 0.8355
Ir4 Ir 0.8078 0.8078 0.3450
```

Principal peaks in the range 2θ = 10–80°, sorted by position:
2theta  intensity
24.4  43
25.0  44
27.9  61
30.7  100
33.5  87
38.2  41
39.3  34
43.2  24
44.7  47
45.3  71

***

[2]
For NaGeBi, a structure optimized by DFT (GGA-PBE) gives the calculated PXRD pattern in this record (Cu Kα X-rays).
Kinematic intensities with the Lorentz-polarization factor, no thermal factor.

Atomic structure:
```
data_NaGeBi
_cell_length_a 6.3728
_cell_length_b 6.3728
_cell_length_c 6.3728
_cell_angle_alpha 134.01
_cell_angle_beta 84.83
_cell_angle_gamma 113.29
_space_group_name_H-M_alt 'P 1'
_space_group_IT_number 1
loop_
_space_group_symop_operation_xyz
'x,y,z'
loop_
_atom_site_label
_atom_site_type_symbol
_atom_site_fract_x
_atom_site_fract_y
_atom_site_fract_z
Na1 Na 0.1874 0.2500 0.4374
Na2 Na 0.8126 0.7500 0.5626
Ge1 Ge 0.6386 0.9590 0.1796
Ge2 Ge 0.7795 0.4590 0.8204
Bi1 Bi 0.1773 0.5525 0.1248
Bi2 Bi 0.4276 0.0525 0.8752
```

Principal peaks in the range 2θ = 10–80°, sorted by position:
2theta  intensity
15.8  57
20.2  100
25.4  59
29.1  100
31.2  36
32.7  85
33.8  61
36.1  46
42.7  39
47.1  41

***

[3]
For ErCd11Sn, a structure optimized by DFT (GGA-PBE) gives the calculated PXRD pattern in this record (Cu Kα X-rays).
Kinematic intensities with the Lorentz-polarization factor, no thermal factor.

Atomic structure:
```
data_ErCd11Sn
_cell_length_a 7.6656
_cell_length_b 7.6656
_cell_length_c 7.5873
_cell_angle_alpha 100.24
_cell_angle_beta 100.24
_cell_angle_gamma 130.13
_space_group_name_H-M_alt 'P 1'
_space_group_IT_number 1
loop_
_space_group_symop_operation_xyz
'x,y,z'
loop_
_atom_site_label
_atom_site_type_symbol
_atom_site_fract_x
_atom_site_fract_y
_atom_site_fract_z
Er1 Er 0.0000 0.0000 0.0000
Cd1 Cd 0.0000 0.5000 0.0000
Cd2 Cd 0.0058 0.3555 0.3464
Cd3 Cd 0.2996 0.5163 0.7875
Cd4 Cd 0.3555 0.0058 0.3464
Cd5 Cd 0.4837 0.7004 0.2125
Cd6 Cd 0.5000 0.0000 0.0000
Cd7 Cd 0.5000 0.5000 0.5000
Cd8 Cd 0.5163 0.2996 0.7875
Cd9 Cd 0.6445 0.9942 0.6536
Cd10 Cd 0.7004 0.4837 0.2125
Cd11 Cd 0.9942 0.6445 0.6536
Sn1 Sn 0.0000 0.0000 0.5000
```

Principal peaks in the range 2θ = 10–80°, sorted by position:
2theta  intensity
27.6  36
30.7  42
30.8  39
33.2  84
33.3  69
35.8  85
36.0  43
36.1  38
36.8  100
38.0  60

***

[4]
For NaCeMg2Hg4, a structure optimized by DFT (GGA-PBE) gives the calculated PXRD pattern in this record (Cu Kα X-rays).
Kinematic intensities with the Lorentz-polarization factor, no thermal factor.

Atomic structure:
```
data_NaCeMg2Hg4
_cell_length_a 9.1601
_cell_length_b 9.1601
_cell_length_c 9.1601
_cell_angle_alpha 31.95
_cell_angle_beta 31.95
_cell_angle_gamma 31.95
_space_group_name_H-M_alt 'P 1'
_space_group_IT_number 1
loop_
_space_group_symop_operation_xyz
'x,y,z'
loop_
_atom_site_label
_atom_site_type_symbol
_atom_site_fract_x
_atom_site_fract_y
_atom_site_fract_z
Na1 Na 0.0000 0.0000 0.0000
Ce1 Ce 0.5000 0.5000 0.5000
Mg1 Mg 0.2522 0.2522 0.2522
Mg2 Mg 0.7478 0.7478 0.7478
Hg1 Hg 0.1181 0.1181 0.1181
Hg2 Hg 0.3743 0.3743 0.3743
Hg3 Hg 0.6257 0.6257 0.6257
Hg4 Hg 0.8819 0.8819 0.8819
```

Principal peaks in the range 2θ = 10–80°, sorted by position:
2theta  intensity
24.5  78
34.4  100
35.6  95
43.7  18
50.3  34
55.9  16
57.6  16
60.7  17
63.2  35
64.0  18